Calculated X-ray powder pattern
Compound: Pm8NdY6
Radiation: a wavelength of 1.5418 Å
Structure: the GGA-PBE geometry in Alexandria
No peak broadening, texture or thermal motion is included.

Peak list (10 most intense, 10 to 90 degrees two-theta, sorted by position)
- 30.07°, d = 2.972 Å, intensity 25
- 31.00°, d = 2.885 Å, intensity 100
- 31.93°, d = 2.803 Å, intensity 31
- 32.20°, d = 2.780 Å, intensity 9
- 34.43°, d = 2.605 Å, intensity 11
- 36.29°, d = 2.476 Å, intensity 14
- 52.31°, d = 1.749 Å, intensity 11
- 53.24°, d = 1.720 Å, intensity 10
- 54.55°, d = 1.682 Å, intensity 7
- 59.37°, d = 1.557 Å, intensity 11

Structure:
Lattice parameters (Å, degrees): 8.7687 8.7687 8.7687 63.06 63.06 63.06
Positions (direct):
1 Pm 0.0770 0.0770 0.0770
2 Pm 0.2167 0.6128 0.2501
3 Pm 0.2501 0.2167 0.6128
4 Pm 0.3872 0.7499 0.7833
5 Pm 0.6128 0.2501 0.2167
6 Pm 0.7499 0.7833 0.3872
7 Pm 0.7833 0.3872 0.7499
8 Pm 0.9230 0.9230 0.9230
9 Nd 0.5000 0.5000 0.5000
10 Y 0.0369 0.5976 0.7474
11 Y 0.2526 0.9631 0.4024
12 Y 0.4024 0.2526 0.9631
13 Y 0.5976 0.7474 0.0369
14 Y 0.7474 0.0369 0.5976
15 Y 0.9631 0.4024 0.2526